No. 1
Starting from a structure optimized by DFT (PBE), the powder diffraction line list of Ca6Ga5 was calculated for a wavelength of 1.5418 Å.
Lines closer than 0.1° are merged.

Top 12 peaks for 10 to 90 degrees two-theta, by angle:
(0 1 1), 13.23 deg, I = 7; (1 2 3), 34.51 deg, I = 100; (0 0 6), 34.76 deg, I = 24; (2 0 0), 34.90 deg, I = 24; (0 4 0), 49.13 deg, I = 9; (2 0 6), 50.08 deg, I = 16; (2 4 0), 61.63 deg, I = 17; (1 2 9), 62.16 deg, I = 16; (3 2 3), 62.33 deg, I = 16; (2 4 6), 72.78 deg, I = 10; (1 6 3), 82.37 deg, I = 7; (3 2 9), 83.86 deg, I = 9

Crystal structure
Cell: 5.1420 7.4178 15.4831 Å, 90.00 90.00 90.00°
Space group Immm (No. 71)
Unique sites:
Ca 0.0000 0.2484 0.1629 x8
Ca 0.0000 0.2498 0.5000 x4
Ga 0.0000 0.0000 0.3272 x4
Ga 0.0000 0.5000 0.0000 x2
Ga 0.0000 0.5000 0.3273 x4

No. 2
Starting from a structure optimized by DFT (PBE), the powder diffraction line list of CaGa3 was calculated for a wavelength of 1.5418 Å.
Lines closer than 0.1° are merged.

Top 12 peaks for 10 to 90 degrees two-theta, by angle:
(0 0 1), 11.98 deg, I = 32; (1 0 1), 19.34 deg, I = 38; (2 0 0), 30.53 deg, I = 19; (0 1 2), 32.91 deg, I = 66; (1 1 2), 36.41 deg, I = 100; (2 1 0), 38.00 deg, I = 21; (2 0 2), 39.26 deg, I = 22; (2 1 1), 39.98 deg, I = 68; (0 1 3), 43.06 deg, I = 26; (0 2 0), 45.05 deg, I = 32; (3 1 2), 58.15 deg, I = 23; (2 2 4), 77.36 deg, I = 22

Crystal structure
Cell: 5.8569 4.0251 7.3880 Å, 90.00 90.00 90.00°
Space group Pmma (No. 51)
Unique sites:
Ca 0.2500 0.0000 0.2063 x2
Ga 0.0000 0.5000 0.5000 x2
Ga 0.2500 0.0000 0.6495 x2
Ga 0.2500 0.5000 0.8831 x2

Copy entry 2 word for word.
Starting from a structure optimized by DFT (PBE), the powder diffraction line list of CaGa3 was calculated for a wavelength of 1.5418 Å.
Lines closer than 0.1° are merged.

Top 12 peaks for 10 to 90 degrees two-theta, by angle:
(0 0 1), 11.98 deg, I = 32; (1 0 1), 19.34 deg, I = 38; (2 0 0), 30.53 deg, I = 19; (0 1 2), 32.91 deg, I = 66; (1 1 2), 36.41 deg, I = 100; (2 1 0), 38.00 deg, I = 21; (2 0 2), 39.26 deg, I = 22; (2 1 1), 39.98 deg, I = 68; (0 1 3), 43.06 deg, I = 26; (0 2 0), 45.05 deg, I = 32; (3 1 2), 58.15 deg, I = 23; (2 2 4), 77.36 deg, I = 22

Crystal structure
Cell: 5.8569 4.0251 7.3880 Å, 90.00 90.00 90.00°
Space group Pmma (No. 51)
Unique sites:
Ca 0.2500 0.0000 0.2063 x2
Ga 0.0000 0.5000 0.5000 x2
Ga 0.2500 0.0000 0.6495 x2
Ga 0.2500 0.5000 0.8831 x2

Q: Number 1 is which compound?
A: Ca6Ga5